The following is a calculated X-ray powder pattern of Ba10MgAs6Cl2O24. It was derived from a PBE-relaxed structure, using Cu Kα.
Neutral-atom scattering factors, no anomalous dispersion.

Top 8 peaks for 2θ = 10–90°, by intensity:
| two_theta | d/Å | I_rel |
| --- | --- | --- |
| 27.97 | 3.190 | 100 |
| 27.75 | 3.215 | 97 |
| 28.17 | 3.167 | 86 |
| 27.38 | 3.257 | 75 |
| 26.98 | 3.305 | 65 |
| 26.79 | 3.328 | 49 |
| 28.63 | 3.118 | 44 |
| 22.75 | 3.909 | 37 |

Atomic structure:
Cell: 10.815 7.818 11.047 Å, 90.00 117.71 90.00°
Fractional positions:
Ba: 0.000 0.000 0.000
Ba: 0.007 0.500 0.814
Ba: 0.227 0.500 0.287
Ba: 0.242 0.000 0.746
Ba: 0.490 0.500 0.012
Ba: 0.515 0.000 0.281
Ba: 0.593 0.249 0.688
Ba: 0.593 0.751 0.688
Ba: 0.893 0.233 0.302
Ba: 0.893 0.767 0.302
Mg: 0.043 0.500 0.545
As: 0.286 0.000 0.418
As: 0.298 0.500 0.627
As: 0.607 0.000 0.966
As: 0.676 0.500 0.412
As: 0.857 0.000 0.638
As: 0.868 0.500 0.033
Cl: 0.257 0.249 0.027
Cl: 0.257 0.751 0.027
O: 0.038 0.500 0.369
O: 0.105 0.000 0.344
O: 0.195 0.335 0.658
O: 0.195 0.665 0.658
O: 0.346 0.179 0.369
O: 0.346 0.821 0.369
O: 0.372 0.000 0.596
O: 0.466 0.500 0.766
O: 0.503 0.178 0.907
O: 0.503 0.822 0.907
O: 0.592 0.500 0.511
O: 0.640 0.322 0.309
O: 0.640 0.678 0.309
O: 0.676 0.000 0.556
O: 0.702 0.000 0.143
O: 0.719 0.000 0.893
O: 0.759 0.500 0.106
O: 0.781 0.500 0.856
O: 0.857 0.500 0.525
O: 0.912 0.175 0.749
O: 0.912 0.825 0.749
O: 0.925 0.000 0.525
O: 0.974 0.321 0.086
O: 0.974 0.679 0.086

The following is a calculated X-ray powder pattern of Ba10MgAs6Cl2O24. It was derived from a PBE-relaxed structure, using Cu Kα.
Neutral-atom scattering factors, no anomalous dispersion.

Top 8 peaks for 2θ = 10–90°, by intensity:
| two_theta | d/Å | I_rel |
| --- | --- | --- |
| 27.64 | 3.228 | 100 |
| 27.32 | 3.264 | 52 |
| 27.77 | 3.212 | 47 |
| 28.54 | 3.128 | 44 |
| 26.51 | 3.362 | 30 |
| 27.14 | 3.286 | 25 |
| 26.31 | 3.387 | 24 |
| 28.70 | 3.110 | 24 |

Atomic structure:
Cell: 7.796 10.882 11.014 Å, 62.95 88.21 88.40°
Fractional positions:
Ba: 0.000 0.000 0.000
Ba: 0.003 0.750 0.502
Ba: 0.007 0.275 0.227
Ba: 0.265 0.645 0.932
Ba: 0.285 0.293 0.601
Ba: 0.499 0.997 0.480
Ba: 0.503 0.724 0.272
Ba: 0.515 0.260 0.996
Ba: 0.765 0.639 0.943
Ba: 0.770 0.375 0.576
Mg: 0.684 0.064 0.688
As: 0.014 0.577 0.294
As: 0.014 0.992 0.648
As: 0.022 0.367 0.845
As: 0.496 0.628 0.646
As: 0.500 0.413 0.222
As: 0.516 0.934 0.926
Cl: 0.246 0.004 0.250
Cl: 0.759 0.011 0.239
O: 0.009 0.619 0.124
O: 0.023 0.459 0.937
O: 0.026 0.474 0.671
O: 0.031 0.398 0.390
O: 0.033 0.825 0.772
O: 0.176 0.654 0.335
O: 0.194 0.068 0.554
O: 0.194 0.252 0.882
O: 0.319 0.736 0.612
O: 0.320 0.883 0.003
O: 0.332 0.366 0.142
O: 0.483 0.514 0.576
O: 0.502 0.599 0.115
O: 0.520 0.537 0.821
O: 0.543 0.110 0.836
O: 0.558 0.882 0.798
O: 0.564 0.205 0.542
O: 0.669 0.733 0.572
O: 0.685 0.866 0.036
O: 0.686 0.369 0.145
O: 0.828 0.623 0.354
O: 0.840 0.267 0.885
O: 0.843 0.003 0.548
O: 0.934 0.093 0.727

The following is a calculated X-ray powder pattern of Ba5As3ClO12. It was derived from a PBE-relaxed structure, using Cu Kα.
Neutral-atom scattering factors, no anomalous dispersion.

Top 8 peaks for 2θ = 10–90°, by intensity:
| two_theta | d/Å | I_rel |
| --- | --- | --- |
| 27.70 | 3.221 | 100 |
| 28.15 | 3.170 | 93 |
| 28.65 | 3.116 | 57 |
| 40.60 | 2.222 | 36 |
| 43.08 | 2.100 | 32 |
| 55.43 | 1.658 | 23 |
| 25.21 | 3.533 | 23 |
| 43.77 | 2.068 | 21 |

Atomic structure:
Cell: 10.793 10.793 7.832 Å, 90.00 90.00 120.00°
Fractional positions:
Ba: 0.005 0.254 0.250
Ba: 0.249 0.995 0.250
Ba: 0.254 0.249 0.750
Ba: 0.333 0.667 0.001
Ba: 0.333 0.667 0.499
Ba: 0.667 0.333 0.501
Ba: 0.667 0.333 0.999
Ba: 0.746 0.751 0.250
Ba: 0.751 0.005 0.750
Ba: 0.995 0.746 0.750
As: 0.034 0.406 0.750
As: 0.372 0.966 0.750
As: 0.406 0.372 0.250
As: 0.594 0.628 0.750
As: 0.628 0.034 0.250
As: 0.966 0.594 0.250
Cl: 0.000 0.000 0.000
Cl: 0.000 0.000 0.500
O: 0.093 0.356 0.573
O: 0.093 0.356 0.927
O: 0.123 0.592 0.750
O: 0.149 0.667 0.250
O: 0.263 0.907 0.573
O: 0.263 0.907 0.927
O: 0.333 0.482 0.250
O: 0.356 0.263 0.073
O: 0.356 0.263 0.427
O: 0.408 0.531 0.750
O: 0.469 0.877 0.750
O: 0.482 0.149 0.750
O: 0.518 0.851 0.250
O: 0.531 0.123 0.250
O: 0.592 0.469 0.250
O: 0.644 0.737 0.573
O: 0.644 0.737 0.927
O: 0.667 0.518 0.750
O: 0.737 0.093 0.073
O: 0.737 0.093 0.427
O: 0.851 0.333 0.750
O: 0.877 0.408 0.250
O: 0.907 0.644 0.073
O: 0.907 0.644 0.427

The following is a calculated X-ray powder pattern of BaCo2As2. It was derived from a PBE-relaxed structure, using Cu Kα.
Neutral-atom scattering factors, no anomalous dispersion.

Top 8 peaks for 2θ = 10–90°, by intensity:
| two_theta | d/Å | I_rel |
| --- | --- | --- |
| 30.85 | 2.898 | 100 |
| 54.33 | 1.688 | 43 |
| 34.81 | 2.577 | 36 |
| 55.95 | 1.644 | 36 |
| 45.45 | 1.995 | 36 |
| 31.71 | 2.822 | 15 |
| 66.23 | 1.411 | 11 |
| 88.57 | 1.104 | 10 |

Atomic structure:
Cell: 3.991 3.991 12.645 Å, 90.00 90.00 90.00°
Fractional positions:
Ba: 0.000 0.000 0.000
Ba: 0.500 0.500 0.500
Co: 0.000 0.500 0.250
Co: 0.000 0.500 0.750
Co: 0.500 0.000 0.250
Co: 0.500 0.000 0.750
As: 0.000 0.000 0.346
As: 0.000 0.000 0.654
As: 0.500 0.500 0.154
As: 0.500 0.500 0.846

The following is a calculated X-ray powder pattern of BaCr2As2. It was derived from a PBE-relaxed structure, using Cu Kα.
Neutral-atom scattering factors, no anomalous dispersion.

Top 8 peaks for 2θ = 10–90°, by intensity:
| two_theta | d/Å | I_rel |
| --- | --- | --- |
| 29.89 | 2.989 | 100 |
| 53.97 | 1.699 | 37 |
| 33.65 | 2.664 | 36 |
| 43.84 | 2.065 | 35 |
| 52.61 | 1.740 | 33 |
| 30.61 | 2.920 | 19 |
| 87.15 | 1.118 | 15 |
| 63.73 | 1.460 | 11 |

Atomic structure:
Cell: 4.130 4.130 12.993 Å, 90.00 90.00 90.00°
Fractional positions:
Ba: 0.000 0.000 0.000
Ba: 0.500 0.500 0.500
Cr: 0.000 0.500 0.250
Cr: 0.000 0.500 0.750
Cr: 0.500 0.000 0.250
Cr: 0.500 0.000 0.750
As: 0.000 0.000 0.352
As: 0.000 0.000 0.648
As: 0.500 0.500 0.148
As: 0.500 0.500 0.852

The following is a calculated X-ray powder pattern of BaCuAs. It was derived from a PBE-relaxed structure, using Cu Kα.
Neutral-atom scattering factors, no anomalous dispersion.

Top 8 peaks for 2θ = 10–90°, by intensity:
| two_theta | d/Å | I_rel |
| --- | --- | --- |
| 30.45 | 2.935 | 100 |
| 41.25 | 2.188 | 40 |
| 57.94 | 1.592 | 29 |
| 52.13 | 1.754 | 22 |
| 68.55 | 1.369 | 19 |
| 38.83 | 2.319 | 16 |
| 65.16 | 1.432 | 12 |
| 88.03 | 1.110 | 9 |

Atomic structure:
Cell: 4.377 4.377 9.277 Å, 90.00 90.00 120.00°
Fractional positions:
Ba: 0.000 0.000 0.000
Ba: 0.000 0.000 0.500
Cu: 0.333 0.667 0.250
Cu: 0.667 0.333 0.750
As: 0.333 0.667 0.750
As: 0.667 0.333 0.250